Calculated powder X-ray diffraction pattern
Compound: Ac4PtAu3
Radiation: CuKα
Structure: a crystal structure in Alexandria, relaxed with GGA-PBE
Kinematic intensities with the Lorentz-polarization factor, no thermal factor.

Top 10 peaks for 2θ = 10–80°, by angle:
Position (°2θ)  intensity  (hkl)
27.89  100  1 2 1
39.51  26  3 2 -1
39.66  13  2 0 2
40.14  38  1 2 -3
48.60  7  4 0 0
49.53  14  2 4 -2
57.66  9  2 4 2
64.73  12  4 4 0
65.59  12  3 2 -5
72.45  9  4 4 -4

Crystal structure
```
16
Lattice="7.9386 0.0000 0.0000 0.0000 8.9960 0.0000 -2.5670 0.0000 7.3368" Properties=species:S:1:pos:R:3 pbc="T T T"
Ac 1.8592 1.0669 0.0100
Ac 0.5757 7.9291 3.6784
Ac 0.6628 3.3016 3.5981
Ac -0.6207 5.6944 7.2665
Ac 5.9923 3.3016 0.0703
Ac 4.7088 5.6944 3.7387
Ac 4.7959 1.0669 3.6584
Ac 3.5124 7.9291 7.3268
Pt -0.6417 1.1224 1.8342
Pt -1.9252 7.8736 5.5026
Au -1.9252 3.3794 5.5026
Au -0.6417 5.6165 1.8342
Au 2.0441 1.1301 5.5026
Au 3.3275 3.3882 1.8342
Au 2.0441 5.6078 5.5026
Au 3.3275 7.8659 1.8342
```